[1]
Diffraction record for K2Cd2NiH4. The powder X-ray diffraction pattern is simulated, not measured: it uses the PBE geometry in Alexandria and copper Kα.
Lines closer than 0.1° are merged.

Structural model:
```
data_K2Cd2NiH4
_cell_length_a 6.6463
_cell_length_b 6.6463
_cell_length_c 7.9936
_cell_angle_alpha 90.00
_cell_angle_beta 90.00
_cell_angle_gamma 90.00
_symmetry_space_group_name_H-M 'I 4/m m m'
_symmetry_Int_Tables_number 139
_symmetry_space_group_name_Hall '-I 4 2'
loop_
_atom_site_label
_atom_site_type_symbol
_atom_site_fract_x
_atom_site_fract_y
_atom_site_fract_z
K1 K 0.0000 0.5000 0.2500
Cd1 Cd 0.0000 0.0000 0.1800
Ni1 Ni 0.0000 0.0000 0.5000
H1 H 0.1649 0.1649 0.5000
```

Principal peaks in the range 10 to 90 degrees two-theta, in order of rising 2θ:
| 2θ/deg | intensity |
| --- | --- |
| 18.88 | 75 |
| 26.83 | 100 |
| 35.12 | 19 |
| 36.32 | 54 |
| 38.30 | 39 |
| 43.04 | 18 |
| 45.73 | 53 |
| 61.13 | 22 |

[2]
Diffraction record for KCdH8Pt2. The powder X-ray diffraction pattern is simulated, not measured: it uses the PBE geometry in Alexandria and copper Kα.
Lines closer than 0.1° are merged.

Structural model:
```
data_KCdH8Pt2
_cell_length_a 4.9844
_cell_length_b 4.9844
_cell_length_c 19.6455
_cell_angle_alpha 90.00
_cell_angle_beta 90.00
_cell_angle_gamma 120.00
_symmetry_space_group_name_H-M 'R -3'
_symmetry_Int_Tables_number 148
_symmetry_space_group_name_Hall '-R 3'
loop_
_atom_site_label
_atom_site_type_symbol
_atom_site_fract_x
_atom_site_fract_y
_atom_site_fract_z
K1 K 0.0000 0.0000 0.0000
Cd1 Cd 0.0000 0.0000 0.5000
H1 H 0.0000 0.0000 0.2944
H2 H 0.0154 0.3701 0.5576
Pt1 Pt 0.0000 0.0000 0.2139
```

Principal peaks in the range 10 to 90 degrees two-theta, in order of rising 2θ:
| 2θ/deg | intensity |
| --- | --- |
| 13.52 | 100 |
| 22.50 | 33 |
| 27.51 | 90 |
| 30.77 | 31 |
| 36.04 | 83 |
| 38.25 | 51 |
| 38.66 | 46 |
| 45.93 | 22 |

[3]
Diffraction record for K6Rb2CdH. The powder X-ray diffraction pattern is simulated, not measured: it uses the PBE geometry in Alexandria and copper Kα.
Lines closer than 0.1° are merged.

Structural model:
```
data_K6Rb2CdH
_cell_length_a 13.2756
_cell_length_b 13.2522
_cell_length_c 9.3862
_cell_angle_alpha 90.00
_cell_angle_beta 134.95
_cell_angle_gamma 90.00
_symmetry_space_group_name_H-M 'C 1 2/m 1'
_symmetry_Int_Tables_number 12
loop_
_symmetry_equiv_pos_as_xyz
'x,y,z'
'-x,-y,-z'
'-x,y,-z'
'x,-y,z'
'x+1/2,y+1/2,z'
'-x+1/2,-y+1/2,-z'
'-x+1/2,y+1/2,-z'
'x+1/2,-y+1/2,z'
loop_
_atom_site_label
_atom_site_type_symbol
_atom_site_fract_x
_atom_site_fract_y
_atom_site_fract_z
K1 K 0.0000 0.2298 0.0000
K2 K 0.2301 0.0000 0.4604
K3 K 0.2308 0.0000 0.9995
Rb1 Rb 0.0000 0.2502 0.5000
Cd1 Cd 0.0000 0.5000 0.0000
H1 H 0.0000 0.0000 0.0000
```

Principal peaks in the range 10 to 90 degrees two-theta, in order of rising 2θ:
| 2θ/deg | intensity |
| --- | --- |
| 18.91 | 74 |
| 22.22 | 34 |
| 23.22 | 62 |
| 26.87 | 100 |
| 29.33 | 30 |
| 33.07 | 34 |
| 38.37 | 71 |
| 47.46 | 24 |

[4]
Diffraction record for KRb3Cd2H8. The powder X-ray diffraction pattern is simulated, not measured: it uses the PBE geometry in Alexandria and copper Kα.
Lines closer than 0.1° are merged.

Structural model:
```
data_KRb3Cd2H8
_cell_length_a 6.3687
_cell_length_b 6.3687
_cell_length_c 8.2666
_cell_angle_alpha 90.00
_cell_angle_beta 90.00
_cell_angle_gamma 120.00
_symmetry_space_group_name_H-M 'P -3 m 1'
_symmetry_Int_Tables_number 164
_symmetry_space_group_name_Hall '-P 3 2"'
loop_
_atom_site_label
_atom_site_type_symbol
_atom_site_fract_x
_atom_site_fract_y
_atom_site_fract_z
K1 K 0.0000 0.0000 0.0000
Rb1 Rb 0.0000 0.0000 0.5000
Rb2 Rb 0.3333 0.6667 0.1768
Cd1 Cd 0.3333 0.6667 0.7166
H1 H 0.1780 0.3559 0.8017
H2 H 0.3333 0.6667 0.4999
```

Principal peaks in the range 10 to 90 degrees two-theta, in order of rising 2θ:
| 2θ/deg | intensity |
| --- | --- |
| 26.96 | 94 |
| 28.02 | 100 |
| 39.27 | 35 |
| 46.95 | 15 |
| 48.94 | 35 |
| 49.58 | 20 |
| 63.37 | 13 |
| 65.01 | 15 |

[5]
Diffraction record for KRbCdH4. The powder X-ray diffraction pattern is simulated, not measured: it uses the PBE geometry in Alexandria and copper Kα.
Lines closer than 0.1° are merged.

Structural model:
```
data_KRbCdH4
_cell_length_a 6.2949
_cell_length_b 10.7478
_cell_length_c 8.4349
_cell_angle_alpha 90.00
_cell_angle_beta 90.00
_cell_angle_gamma 90.00
_symmetry_space_group_name_H-M 'C m c m'
_symmetry_Int_Tables_number 63
_symmetry_space_group_name_Hall '-C 2c 2'
loop_
_atom_site_label
_atom_site_type_symbol
_atom_site_fract_x
_atom_site_fract_y
_atom_site_fract_z
K1 K 0.0000 0.0000 0.0000
Rb1 Rb 0.0000 0.3129 0.2500
Cd1 Cd 0.0000 0.3451 0.7500
H1 H 0.0000 0.2438 0.5756
H2 H 0.2386 0.4466 0.7500
```

Principal peaks in the range 10 to 90 degrees two-theta, in order of rising 2θ:
| 2θ/deg | intensity |
| --- | --- |
| 21.07 | 51 |
| 26.76 | 86 |
| 26.87 | 43 |
| 28.36 | 56 |
| 28.67 | 100 |
| 35.85 | 47 |
| 39.46 | 31 |
| 52.40 | 35 |

[6]
Diffraction record for K2CdTcH6. The powder X-ray diffraction pattern is simulated, not measured: it uses the PBE geometry in Alexandria and copper Kα.
Lines closer than 0.1° are merged.

Structural model:
```
data_K2CdTcH6
_cell_length_a 6.5555
_cell_length_b 9.2407
_cell_length_c 5.6426
_cell_angle_alpha 90.00
_cell_angle_beta 124.81
_cell_angle_gamma 90.00
_symmetry_space_group_name_H-M 'C 1 m 1'
_symmetry_Int_Tables_number 8
loop_
_symmetry_equiv_pos_as_xyz
'x,y,z'
'x,-y,z'
'x+1/2,y+1/2,z'
'x+1/2,-y+1/2,z'
loop_
_atom_site_label
_atom_site_type_symbol
_atom_site_fract_x
_atom_site_fract_y
_atom_site_fract_z
K1 K 0.0000 0.2452 0.0000
Cd1 Cd 0.4654 0.0000 0.5223
Tc1 Tc 0.0419 0.0000 0.5247
H1 H 0.0361 0.0000 0.2245
H2 H 0.2319 0.0000 0.9140
H3 H 0.2619 0.5000 0.2068
H4 H 0.3105 0.5000 0.5951
H5 H 0.4673 0.3163 0.4517
```

Principal peaks in the range 10 to 90 degrees two-theta, in order of rising 2θ:
| 2θ/deg | intensity |
| --- | --- |
| 19.14 | 29 |
| 19.22 | 30 |
| 27.26 | 100 |
| 33.30 | 25 |
| 33.53 | 49 |
| 33.69 | 24 |
| 39.01 | 24 |
| 52.50 | 27 |

[7]
Diffraction record for LaCdH6Pt2. The powder X-ray diffraction pattern is simulated, not measured: it uses the PBE geometry in Alexandria and copper Kα.
Lines closer than 0.1° are merged.

Structural model:
```
data_LaCdH6Pt2
_cell_length_a 6.9859
_cell_length_b 8.9221
_cell_length_c 8.5845
_cell_angle_alpha 90.00
_cell_angle_beta 109.73
_cell_angle_gamma 90.00
_symmetry_space_group_name_H-M 'C 1 2/c 1'
_symmetry_Int_Tables_number 15
loop_
_symmetry_equiv_pos_as_xyz
'x,y,z'
'-x,-y,-z'
'-x,y,-z+1/2'
'x,-y,z+1/2'
'x+1/2,y+1/2,z'
'-x+1/2,-y+1/2,-z'
'-x+1/2,y+1/2,-z+1/2'
'x+1/2,-y+1/2,z+1/2'
loop_
_atom_site_label
_atom_site_type_symbol
_atom_site_fract_x
_atom_site_fract_y
_atom_site_fract_z
La1 La 0.0000 0.0720 0.2500
Cd1 Cd 0.0000 0.3410 0.7500
H1 H 0.0754 0.2072 0.5515
H2 H 0.1456 0.2976 0.1512
H3 H 0.2386 0.0209 0.0224
Pt1 Pt 0.2200 0.3858 0.3338
```

Principal peaks in the range 10 to 90 degrees two-theta, in order of rising 2θ:
| 2θ/deg | intensity |
| --- | --- |
| 22.00 | 100 |
| 23.80 | 39 |
| 31.29 | 34 |
| 32.61 | 79 |
| 33.38 | 39 |
| 37.30 | 32 |
| 38.56 | 85 |
| 43.98 | 58 |

[8]
Diffraction record for LaCdH6Pt3. The powder X-ray diffraction pattern is simulated, not measured: it uses the PBE geometry in Alexandria and copper Kα.
Lines closer than 0.1° are merged.

Structural model:
```
data_LaCdH6Pt3
_cell_length_a 7.5331
_cell_length_b 7.5331
_cell_length_c 8.3984
_cell_angle_alpha 90.00
_cell_angle_beta 90.00
_cell_angle_gamma 120.00
_symmetry_space_group_name_H-M 'R 3'
_symmetry_Int_Tables_number 146
_symmetry_space_group_name_Hall 'R 3'
loop_
_atom_site_label
_atom_site_type_symbol
_atom_site_fract_x
_atom_site_fract_y
_atom_site_fract_z
La1 La 0.0000 0.0000 0.0000
Cd1 Cd 0.0000 0.0000 0.4112
H1 H 0.0227 0.8037 0.7333
H2 H 0.0787 0.3524 0.8601
Pt1 Pt 0.1079 0.4123 0.3387
```

Principal peaks in the range 10 to 90 degrees two-theta, in order of rising 2θ:
| 2θ/deg | intensity |
| --- | --- |
| 23.62 | 94 |
| 29.37 | 39 |
| 31.97 | 64 |
| 34.83 | 57 |
| 38.03 | 100 |
| 40.13 | 48 |
| 42.52 | 98 |
| 57.63 | 35 |

[9]
Diffraction record for La2CdH12Rh3. The powder X-ray diffraction pattern is simulated, not measured: it uses the PBE geometry in Alexandria and copper Kα.
Lines closer than 0.1° are merged.

Structural model:
```
data_La2CdH12Rh3
_cell_length_a 6.4460
_cell_length_b 6.4460
_cell_length_c 14.5693
_cell_angle_alpha 90.00
_cell_angle_beta 90.00
_cell_angle_gamma 120.00
_symmetry_space_group_name_H-M 'R -3 m'
_symmetry_Int_Tables_number 166
_symmetry_space_group_name_Hall '-R 3 2"'
loop_
_atom_site_label
_atom_site_type_symbol
_atom_site_fract_x
_atom_site_fract_y
_atom_site_fract_z
La1 La 0.0000 0.0000 0.1149
Cd1 Cd 0.0000 0.0000 0.5000
H1 H 0.0149 0.5075 0.8849
H2 H 0.0369 0.5185 0.3372
Rh1 Rh 0.0000 0.5000 0.0000
```

Principal peaks in the range 10 to 90 degrees two-theta, in order of rising 2θ:
| 2θ/deg | intensity |
| --- | --- |
| 27.68 | 44 |
| 29.28 | 32 |
| 32.67 | 63 |
| 33.37 | 100 |
| 34.41 | 70 |
| 34.73 | 68 |
| 53.63 | 38 |
| 57.16 | 38 |

[10]
Diffraction record for La2ZnCdH. The powder X-ray diffraction pattern is simulated, not measured: it uses the PBE geometry in Alexandria and copper Kα.
Lines closer than 0.1° are merged.

Structural model:
```
data_La2ZnCdH
_cell_length_a 5.2539
_cell_length_b 5.2539
_cell_length_c 4.1208
_cell_angle_alpha 90.00
_cell_angle_beta 90.00
_cell_angle_gamma 90.00
_symmetry_space_group_name_H-M 'P 4/m m m'
_symmetry_Int_Tables_number 123
_symmetry_space_group_name_Hall '-P 4 2'
loop_
_atom_site_label
_atom_site_type_symbol
_atom_site_fract_x
_atom_site_fract_y
_atom_site_fract_z
La1 La 0.0000 0.5000 0.0000
Zn1 Zn 0.0000 0.0000 0.5000
Cd1 Cd 0.5000 0.5000 0.5000
H1 H 0.0000 0.0000 0.0000
```

Principal peaks in the range 10 to 90 degrees two-theta, in order of rising 2θ:
| 2θ/deg | intensity |
| --- | --- |
| 32.45 | 100 |
| 34.13 | 44 |
| 43.95 | 11 |
| 49.04 | 16 |
| 56.79 | 20 |
| 60.04 | 33 |
| 67.94 | 11 |
| 73.51 | 9 |